This entry pairs a crystal structure of Tb4Rh with its theoretical powder X-ray diffraction pattern. Radiation: Cu Kα (λ = 1.5418 Å). Structure: a crystal structure in Alexandria, relaxed with PBE.

The 10 most intense peaks (10 to 80 degrees two-theta), in order of falling intensity:
2theta, Rel. int., (hkl)
30.42, 100, 2 0 2
33.19, 52, 3 0 1
35.02, 37, 1 0 3
29.39, 33, 2 2 0
54.62, 33, 2 2 4
39.42, 29, 3 2 1
42.05, 19, 4 0 0
40.02, 16, 3 1 2
51.25, 15, 3 2 3
52.78, 14, 4 2 2

Structural model:
```
data_Tb4Rh
_cell_length_a 8.5952
_cell_length_b 8.5952
_cell_length_c 8.0536
_cell_angle_alpha 90.00
_cell_angle_beta 90.00
_cell_angle_gamma 90.00
_symmetry_space_group_name_H-M 'I -4 2 d'
_symmetry_Int_Tables_number 122
_symmetry_space_group_name_Hall 'I -4 2bw'
loop_
_atom_site_label
_atom_site_fract_x
_atom_site_fract_y
_atom_site_fract_z
_atom_site_occupancy
Tb1 0.0223 0.1994 0.3352 1
Rh1 0.0000 0.0000 0.0000 1
```



This entry pairs a crystal structure of Tb5TeRh2 with its theoretical powder X-ray diffraction pattern. Radiation: Cu Kα (λ = 1.5418 Å). Structure: a crystal structure in Alexandria, relaxed with PBE.

The 10 most intense peaks (10 to 80 degrees two-theta), in order of falling intensity:
2theta, Rel. int., (hkl)
32.49, 100, 2 1 3
36.51, 57, 3 1 0
35.15, 24, 2 0 4
31.03, 24, 1 1 4
42.30, 21, 2 1 5
52.57, 18, 4 2 0
67.14, 16, 3 1 8
68.12, 16, 5 2 3
54.24, 15, 0 0 8
57.11, 13, 3 3 4

Structural model:
```
data_Tb5TeRh2
_cell_length_a 7.7833
_cell_length_b 7.7833
_cell_length_c 13.5348
_cell_angle_alpha 90.00
_cell_angle_beta 90.00
_cell_angle_gamma 90.00
_symmetry_space_group_name_H-M 'I 4/m c m'
_symmetry_Int_Tables_number 140
_symmetry_space_group_name_Hall '-I 4 2c'
loop_
_atom_site_label
_atom_site_fract_x
_atom_site_fract_y
_atom_site_fract_z
_atom_site_occupancy
Tb1 0.0000 0.0000 0.0000 1
Tb2 0.1550 0.3450 0.1361 1
Te1 0.0000 0.0000 0.2500 1
Rh1 0.1418 0.3582 0.5000 1
```